1.
HoEr4Cd: theoretical PXRD pattern (Cu Kα (λ = 1.5418 Å)), based on a crystal structure in Alexandria, relaxed with PBE.

Atomic structure:
```
data_HoEr4Cd
_chemical_formula_sum 'Ho1 Er4 Cd1'
_cell_length_a 3.523
_cell_length_b 3.523
_cell_length_c 14.059
_cell_angle_alpha 90.00
_cell_angle_beta 90.00
_cell_angle_gamma 90.00
_symmetry_space_group_name_H-M 'P 4/m m m'
_symmetry_Int_Tables_number 123
_symmetry_space_group_name_Hall '-P 4 2'
loop_
_atom_site_label
_atom_site_type_symbol
_atom_site_fract_x
_atom_site_fract_y
_atom_site_fract_z
_atom_site_occupancy
Ho1 Ho 0.000 0.000 0.000 1
Er1 Er 0.000 0.000 0.352 1
Er2 Er 0.500 0.500 0.176 1
Cd1 Cd 0.500 0.500 0.500 1
```

Largest 10 diffraction maxima, by angle, 15° ≤ 2θ ≤ 90°:
h k l, 2θ/deg, Rel. int.
1 0 3, 31.8, 100
1 1 0, 36.1, 38
0 0 6, 38.4, 12
2 0 0, 51.9, 13
1 1 6, 53.7, 19
2 1 3, 62.2, 30
1 0 9, 65.3, 8
2 0 6, 66.4, 10
3 0 3, 85.2, 7
2 1 9, 88.1, 7

2.
Sr2HgH6Rh: theoretical PXRD pattern (Cu Kα (λ = 1.5418 Å)), based on a crystal structure in Alexandria, relaxed with PBE.

Atomic structure:
```
data_Sr2HgH6Rh
_chemical_formula_sum 'Sr2 Hg1 H6 Rh1'
_cell_length_a 4.9168
_cell_length_b 4.9168
_cell_length_c 7.5589
_cell_angle_alpha 90.00
_cell_angle_beta 90.00
_cell_angle_gamma 120.00
_symmetry_space_group_name_H-M 'P -3 m 1'
_symmetry_Int_Tables_number 164
_symmetry_space_group_name_Hall '-P 3 2"'
loop_
_atom_site_label
_atom_site_type_symbol
_atom_site_fract_x
_atom_site_fract_y
_atom_site_fract_z
_atom_site_occupancy
Sr1 Sr 0.3333 0.6667 0.2030 1
Hg1 Hg 0.0000 0.0000 0.5000 1
H1 H 0.1629 0.3258 0.8764 1
Rh1 Rh 0.0000 0.0000 0.0000 1
```

Largest 10 diffraction maxima, by angle, 15° ≤ 2θ ≤ 90°:
h k l, 2θ/deg, Rel. int.
1 0 0, 20.9, 45
1 0 1, 24.0, 46
0 1 2, 31.7, 100
1 1 0, 36.6, 52
0 2 1, 44.2, 10
2 0 2, 49.1, 30
1 0 4, 53.0, 15
1 1 4, 61.9, 14
1 2 2, 62.7, 28
3 1 2, 86.3, 12